Starting from a crystal structure in Alexandria, relaxed with GGA+U, the X-ray diffraction stick pattern of Li5Mn3O8 was simulated for a wavelength of 1.5418 Å.
No peak broadening, texture or thermal motion is included.

The 6 most intense peaks (10° ≤ 2θ ≤ 90°), by angle:
d (Å), 2theta, Rel. int.
4.799, 18.49, 100
2.516, 35.69, 24
2.090, 43.30, 52
2.044, 44.31, 25
1.465, 63.52, 13
1.458, 63.84, 13

Cell and atoms:
```
32
Lattice="5.027 -2.960 0.000 5.027 2.960 0.000 -3.189 0.000 9.599" Properties=species:S:1:pos:R:3 pbc="T T T"
Li 0.919 1.480 4.799
Li 0.125 0.140 7.115
Li 2.635 1.549 7.199
Li 4.230 1.450 2.400
Li 1.720 -0.140 2.315
Li 2.513 -1.480 0.000
Li 5.144 0.140 7.283
Li 2.635 -1.450 7.199
Li 4.230 -1.549 2.400
Li 6.739 -0.140 2.484
Mn 0.000 0.000 0.000
Mn -1.595 0.000 4.799
Mn 2.513 1.480 0.000
Mn 0.919 -1.480 4.799
Mn 5.027 0.000 0.000
Mn 3.432 0.000 4.799
O 0.914 1.645 8.453
O -1.560 0.101 8.529
O 2.686 1.502 3.773
O 0.035 -0.101 3.730
O 4.356 1.645 5.945
O 5.773 1.502 1.026
O 3.384 0.099 1.060
O 1.790 -0.099 5.859
O 5.075 0.099 3.739
O 3.480 -0.099 8.539
O 1.092 -1.502 8.572
O 2.509 -1.645 3.653
O 6.829 0.101 5.869
O 4.178 -1.502 5.826
O 8.424 -0.101 1.069
O 5.950 -1.645 1.146
```